This entry pairs a crystal structure of TePd with its computed X-ray diffraction stick pattern. Radiation: Cu Kα, 1.54184 Å. Structure: DFT lattice parameters and positions (GGA-PBE).

Principal peaks in the range 10 to 90 degrees two-theta, by angle:
2θ (°)	I (rel.)
27.54	906
30.04	819
34.12	756
41.21	1000
42.64	362
44.39	403
47.40	376
48.69	467

Crystal structure
a = 6.598 Å, b = 6.598 Å, c = 6.598 Å
α = 116.48°, β = 116.48°, γ = 116.48°
Fractional coordinates of all 6 atoms:
Te 0.219 0.219 0.561
Te 0.219 0.561 0.219
Te 0.561 0.219 0.219
Pd 0.672 0.928 0.928
Pd 0.928 0.672 0.928
Pd 0.928 0.928 0.672